Starting from a DFT-relaxed cell (GGA-PBE, Alexandria), the XRD peak list of BaLi4Ga was calculated for Cu Kα X-rays.
Lines closer than 0.1° are merged.

Top 12 peaks for 2θ = 5–70°, most intense first:
Position (°2θ)	I (rel.)
20.54	100
29.70	54
25.87	33
21.77	31
36.52	25
34.06	24
35.21	17
12.60	16
53.14	13
37.46	13
27.77	13
38.58	12

abc: 8.059 8.059 5.251
angles: 96.58 96.58 60.87
Positions (direct):
Ba (0.189, 0.811, 0.750)
Ba (0.811, 0.189, 0.250)
Li (0.127, 0.303, 0.931)
Li (0.303, 0.127, 0.431)
Li (0.307, 0.459, 0.251)
Li (0.459, 0.307, 0.751)
Li (0.541, 0.693, 0.249)
Li (0.693, 0.541, 0.749)
Li (0.697, 0.873, 0.569)
Li (0.873, 0.697, 0.069)
Ga (0.000, 0.500, 0.500)
Ga (0.500, 0.000, 0.000)